Record 1
Diffraction record for YVSeI2. The powder diffractogram is calculated, not measured: it uses a PBE-relaxed structure and copper Kα.

Largest 12 diffraction maxima, in order of falling intensity, 5° ≤ 2θ ≤ 70°:
d = 3.086 Å, I = 100
d = 2.514 Å, I = 46
d = 1.954 Å, I = 43
d = 3.108 Å, I = 41
d = 1.540 Å, I = 25
d = 1.790 Å, I = 20
d = 1.543 Å, I = 20
d = 6.215 Å, I = 17
d = 1.778 Å, I = 16
d = 2.330 Å, I = 6
d = 1.554 Å, I = 5
d = 5.028 Å, I = 5

Crystal structure
```
YVSeI2
1.0
5.0278 0.0000 0.0000
0.0000 5.0278 0.0000
0.0000 0.0000 6.2152
Y V Se I
1 1 1 2
Cartesian
0.0000 0.0000 0.0000
0.0000 0.0000 3.1076
2.5139 2.5139 0.0000
0.0000 2.5139 3.1076
2.5139 0.0000 3.1076
```


Record 2
Diffraction record for WSe3I. The powder diffractogram is calculated, not measured: it uses a PBE-relaxed structure and copper Kα.

Largest 12 diffraction maxima, in order of falling intensity, 5° ≤ 2θ ≤ 70°:
d = 10.847 Å, I = 100
d = 8.085 Å, I = 42
d = 5.058 Å, I = 18
d = 2.548 Å, I = 14
d = 2.593 Å, I = 12
d = 3.197 Å, I = 11
d = 2.951 Å, I = 10
d = 2.324 Å, I = 9
d = 2.123 Å, I = 8
d = 1.958 Å, I = 7
d = 4.465 Å, I = 7
d = 5.228 Å, I = 7

Crystal structure
```
WSe3I
1.0
8.1823 -7.3129 0.0000
8.1823 7.3129 0.0000
-0.8766 0.0000 5.6387
W Se I
4 12 4
Cartesian
7.5249 6.6520 4.2290
7.9632 5.2325 1.4097
7.5249 -5.2325 4.2290
7.9632 -6.6520 1.4097
1.3179 0.8075 3.4904
5.9119 4.6200 4.9420
1.7562 -0.8075 0.6711
7.1494 2.9049 2.3805
9.1379 4.6200 3.5161
8.7769 2.9049 0.4389
6.7111 -2.9049 5.1998
6.3502 -4.6200 2.1226
8.3386 -2.9049 3.2583
13.7318 0.8075 4.9677
9.5762 -4.6200 0.6967
14.1701 -0.8075 2.1483
4.9578 1.8399 1.2882
4.5195 -1.8399 4.1076
10.9685 1.8399 1.5311
10.5302 -1.8399 4.3505
```


- What is the formula in the first record?
  YVSeI2